No. 1
# BaGaSiPd3
Simulated X-ray powder pattern, copper Kα. Input: a DFT-relaxed cell (PBE, Alexandria).
Intensities are scaled so that the largest is 100.

Atomic structure:
Lattice parameters (Å, degrees): 6.907 12.679 6.122 90.00 90.00 90.00
Space group Cmcm (No. 63)
Asymmetric unit:
1 Ba 0.000 0.235 0.250
2 Ga 0.000 0.473 0.750
3 Si 0.000 0.091 0.750
4 Pd 0.000 0.276 0.750
5 Pd 0.210 0.000 0.000

Most intense lines, 2θ from 10° to 90°, in order of falling intensity:
(hkl)	2θ (°)	d [Å]	Rel. int.
2 0 2	39.33	2.291	100
0 4 0	28.15	3.170	94
2 2 0	29.45	3.033	90
0 2 2	32.48	2.757	81
2 4 2	49.07	1.857	71
4 0 0	52.99	1.728	31
0 6 2	52.63	1.739	21
2 6 0	50.64	1.803	21
2 2 4	68.69	1.366	16
0 0 4	60.49	1.531	15

---

No. 2
# SiMoCl4
Simulated X-ray powder pattern, copper Kα. Input: a DFT-relaxed cell (PBE, Alexandria).
Intensities are scaled so that the largest is 100.

Atomic structure:
Lattice parameters (Å, degrees): 8.198 8.198 8.198 90.00 90.00 90.00
Space group F-43m (No. 216)
Asymmetric unit:
1 Si 0.000 0.000 0.000
2 Mo 0.250 0.250 0.250
3 Cl 0.124 0.124 0.624

Most intense lines, 2θ from 10° to 90°, in order of falling intensity:
(hkl)	2θ (°)	d [Å]	Rel. int.
3 1 1	36.34	2.472	100
2 2 0	30.85	2.899	45
3 3 3	58.50	1.578	30
2 2 2	38.02	2.367	26
4 4 0	64.27	1.449	21
1 1 1	18.75	4.733	17
4 2 2	54.86	1.673	17
2 0 0	21.68	4.099	15
5 3 3	76.14	1.250	10
6 4 2	89.45	1.096	9

---

No. 3
# CsNdNb2O7
Simulated X-ray powder pattern, copper Kα. Input: a DFT-relaxed cell (PBE, Alexandria).
Intensities are scaled so that the largest is 100.

Atomic structure:
Lattice parameters (Å, degrees): 11.495 5.494 5.562 90.00 90.00 90.00
Space group Pmc2_1 (No. 26)
Asymmetric unit:
1 Cs 0.000 0.241 0.000
2 Nd 0.500 0.250 0.028
3 Nb 0.300 0.248 0.487
4 O 0.146 0.300 0.495
5 O 0.310 0.057 0.169
6 O 0.358 0.465 0.757
7 O 0.500 0.171 0.452

Most intense lines, 2θ from 10° to 90°, in order of falling intensity:
(hkl)	2θ (°)	d [Å]	Rel. int.
2 1 1	27.60	3.232	100
0 0 2	32.19	2.781	20
0 2 2	46.46	1.954	19
0 2 0	32.60	2.747	18
2 3 1	55.17	1.665	16
2 1 3	54.63	1.680	14
4 1 1	38.90	2.315	12
4 0 0	31.12	2.874	9
4 2 0	45.69	1.986	8
4 0 2	45.38	1.998	8

---

No. 4
# MnVW
Simulated X-ray powder pattern, copper Kα. Input: a DFT-relaxed cell (PBE, Alexandria).
Intensities are scaled so that the largest is 100.

Atomic structure:
Lattice parameters (Å, degrees): 2.994 2.994 8.996 90.00 90.00 90.00
Space group I4mm (No. 107)
Asymmetric unit:
1 Mn 0.000 0.000 0.000
2 V 0.000 0.000 0.658
3 W 0.000 0.000 0.333

Most intense lines, 2θ from 10° to 90°, in order of falling intensity:
(hkl)	2θ (°)	d [Å]	Rel. int.
1 1 0	42.68	2.118	100
2 1 3	78.15	1.223	32
1 0 1	31.49	2.841	31
0 0 2	19.74	4.498	21
2 0 0	61.99	1.497	11
1 1 4	60.00	1.542	11
1 1 2	47.46	1.916	10
2 1 1	71.19	1.324	7
0 0 6	61.88	1.499	5
0 0 4	40.09	2.249	5

---

No. 5
# Mg5Pd2Pb
Simulated X-ray powder pattern, copper Kα. Input: a DFT-relaxed cell (PBE, Alexandria).
Intensities are scaled so that the largest is 100.

Atomic structure:
Lattice parameters (Å, degrees): 6.203 12.159 4.156 90.00 90.00 90.00
Space group Pbam (No. 55)
Asymmetric unit:
1 Mg 0.000 0.000 0.000
2 Mg 0.042 0.257 0.000
3 Mg 0.235 0.626 0.500
4 Pd 0.182 0.859 0.500
5 Pb 0.000 0.500 0.000

Most intense lines, 2θ from 10° to 90°, in order of falling intensity:
(hkl)	2θ (°)	d [Å]	Rel. int.
0 4 1	36.63	2.453	100
1 1 1	26.84	3.321	86
2 0 1	36.14	2.486	80
2 4 0	41.60	2.171	51
1 3 0	26.27	3.393	51
0 2 1	25.97	3.431	42
1 1 0	16.04	5.526	39
2 4 2	61.80	1.501	35
0 0 2	43.56	2.078	33
1 2 0	20.45	4.342	32

---

No. 6
# WBr2Cl3
Simulated X-ray powder pattern, copper Kα. Input: a DFT-relaxed cell (PBE, Alexandria).
Intensities are scaled so that the largest is 100.

Atomic structure:
Lattice parameters (Å, degrees): 7.120 8.079 10.289 68.71 69.85 63.99
Space group P-1 (No. 2)
Asymmetric unit:
1 W 0.173 0.250 0.250
2 Br 0.242 0.249 0.462
3 Br 0.452 0.251 0.037
4 Cl 0.037 0.582 0.188
5 Cl 0.143 0.749 0.750
6 Cl 0.304 0.919 0.312

Most intense lines, 2θ from 10° to 90°, in order of falling intensity:
(hkl)	2θ (°)	d [Å]	Rel. int.
1 1 0	15.23	5.816	100
0 1 1	13.73	6.450	59
0 2 0	25.35	3.514	27
1 1 3	26.24	3.396	23
3 1 -1	44.83	2.022	22
0 1 -1	17.59	5.042	21
1 -1 0	22.21	4.003	18
2 0 -1	32.23	2.778	17
1 0 -1	18.78	4.725	16
1 0 2	21.07	4.216	15